[1]
Li3Fe2Si2O8: simulated X-ray diffraction stick pattern (Cu Kα), based on a GGA+U-relaxed structure.
Peak positions follow from Bragg's law for the DFT cell and can differ from measured ones.

Atomic structure:
abc: 6.5600 5.1321 10.6647
angles: 90.00 90.84 90.00
Space group Pc (No. 7)
Inequivalent atoms, fractional coordinates:
Li 0.0000 0.0273 0.0000 [2 per cell]
Li 0.2575 0.0699 0.7673 [2 per cell]
Li 0.7500 0.4366 0.0871 [2 per cell]
Fe 0.2643 0.4369 0.0866 [2 per cell]
Fe 0.7428 0.0729 0.7634 [2 per cell]
Si 0.0056 0.4318 0.3299 [2 per cell]
Si 0.5089 0.0608 0.5120 [2 per cell]
O 0.0082 0.1104 0.3310 [2 per cell]
O 0.0252 0.4622 0.9789 [2 per cell]
O 0.2036 0.4557 0.7509 [2 per cell]
O 0.3028 0.0633 0.0839 [2 per cell]
O 0.4960 0.3789 0.5375 [2 per cell]
O 0.4980 0.0151 0.8651 [2 per cell]
O 0.7236 0.0437 0.0778 [2 per cell]
O 0.8011 0.4596 0.7605 [2 per cell]

Principal peaks in the range 2θ from 10° to 90°, by angle:
2θ (°)  I (rel.)  hkl
21.32  55  1 0 -2
21.63  46  1 0 2
21.99  100  1 1 0
31.82  20  2 0 -2
32.25  28  2 0 2
33.61  40  0 0 4
34.97  43  0 2 0
56.08  16  4 0 0

=====

[2]
Ca2CeNiO6: simulated X-ray diffraction stick pattern (Cu Kα), based on a GGA+U-relaxed structure.
Peak positions follow from Bragg's law for the DFT cell and can differ from measured ones.

Atomic structure:
abc: 8.0392 8.0392 8.0392
angles: 90.00 90.00 90.00
Space group Fm-3m (No. 225)
Inequivalent atoms, fractional coordinates:
Ca 0.2500 0.2500 0.2500 [8 per cell]
Ce 0.0000 0.0000 0.0000 [4 per cell]
Ni 0.0000 0.0000 0.5000 [4 per cell]
O 0.0000 0.0000 0.2688 [24 per cell]

Principal peaks in the range 2θ from 10° to 90°, by angle:
2θ (°)  I (rel.)  hkl
19.12  12  1 1 1
22.11  44  2 0 0
31.48  100  2 2 0
45.11  39  4 0 0
50.79  17  4 2 0
56.04  37  4 2 2
65.70  22  4 4 0
74.67  17  6 2 0

=====

[3]
MgCo3BiO8: simulated X-ray diffraction stick pattern (Cu Kα), based on a GGA+U-relaxed structure.
Peak positions follow from Bragg's law for the DFT cell and can differ from measured ones.

Atomic structure:
abc: 5.7733 5.7801 6.5213
angles: 64.04 63.76 60.47
Space group P-1 (No. 2)
Inequivalent atoms, fractional coordinates:
Mg 0.0000 0.0000 0.0000 [1 per cell]
Co 0.0000 0.5000 0.0000 [1 per cell]
Co 0.5000 0.0000 0.0000 [1 per cell]
Co 0.5000 0.5000 0.0000 [1 per cell]
Bi 0.5000 0.5000 0.5000 [1 per cell]
O 0.2426 0.2324 0.8200 [2 per cell]
O 0.2428 0.7076 0.8170 [2 per cell]
O 0.2792 0.2789 0.1694 [2 per cell]
O 0.2926 0.7639 0.1821 [2 per cell]

Principal peaks in the range 2θ from 10° to 90°, by angle:
2θ (°)  I (rel.)  hkl
18.42  100  1 0 0
18.55  48  1 1 1
20.59  33  0 1 1
31.91  35  0 0 2
34.96  28  1 2 2
41.81  26  2 0 2
41.94  27  0 2 2
42.07  26  2 2 0

=====

Which formula does entry 3 have?
MgCo3BiO8

=====

What did the third record say?
MgCo3BiO8: simulated X-ray diffraction stick pattern (Cu Kα), based on a GGA+U-relaxed structure.
Peak positions follow from Bragg's law for the DFT cell and can differ from measured ones.

Atomic structure:
abc: 5.7733 5.7801 6.5213
angles: 64.04 63.76 60.47
Space group P-1 (No. 2)
Inequivalent atoms, fractional coordinates:
Mg 0.0000 0.0000 0.0000 [1 per cell]
Co 0.0000 0.5000 0.0000 [1 per cell]
Co 0.5000 0.0000 0.0000 [1 per cell]
Co 0.5000 0.5000 0.0000 [1 per cell]
Bi 0.5000 0.5000 0.5000 [1 per cell]
O 0.2426 0.2324 0.8200 [2 per cell]
O 0.2428 0.7076 0.8170 [2 per cell]
O 0.2792 0.2789 0.1694 [2 per cell]
O 0.2926 0.7639 0.1821 [2 per cell]

Principal peaks in the range 2θ from 10° to 90°, by angle:
2θ (°)  I (rel.)  hkl
18.42  100  1 0 0
18.55  48  1 1 1
20.59  33  0 1 1
31.91  35  0 0 2
34.96  28  1 2 2
41.81  26  2 0 2
41.94  27  0 2 2
42.07  26  2 2 0

=====

Please write out number 1 again, unchanged.
Li3Fe2Si2O8: simulated X-ray diffraction stick pattern (Cu Kα), based on a GGA+U-relaxed structure.
Peak positions follow from Bragg's law for the DFT cell and can differ from measured ones.

Atomic structure:
abc: 6.5600 5.1321 10.6647
angles: 90.00 90.84 90.00
Space group Pc (No. 7)
Inequivalent atoms, fractional coordinates:
Li 0.0000 0.0273 0.0000 [2 per cell]
Li 0.2575 0.0699 0.7673 [2 per cell]
Li 0.7500 0.4366 0.0871 [2 per cell]
Fe 0.2643 0.4369 0.0866 [2 per cell]
Fe 0.7428 0.0729 0.7634 [2 per cell]
Si 0.0056 0.4318 0.3299 [2 per cell]
Si 0.5089 0.0608 0.5120 [2 per cell]
O 0.0082 0.1104 0.3310 [2 per cell]
O 0.0252 0.4622 0.9789 [2 per cell]
O 0.2036 0.4557 0.7509 [2 per cell]
O 0.3028 0.0633 0.0839 [2 per cell]
O 0.4960 0.3789 0.5375 [2 per cell]
O 0.4980 0.0151 0.8651 [2 per cell]
O 0.7236 0.0437 0.0778 [2 per cell]
O 0.8011 0.4596 0.7605 [2 per cell]

Principal peaks in the range 2θ from 10° to 90°, by angle:
2θ (°)  I (rel.)  hkl
21.32  55  1 0 -2
21.63  46  1 0 2
21.99  100  1 1 0
31.82  20  2 0 -2
32.25  28  2 0 2
33.61  40  0 0 4
34.97  43  0 2 0
56.08  16  4 0 0